The following is a computed PXRD pattern of Mn3O2F4. It was derived from DFT lattice parameters and positions (PBE+U), using Cu Kα, 1.54184 Å.

```
data_Mn3O2F4
_chemical_formula_sum 'Mn6 O4 F8'
_space_group_name_H-M_alt 'P 1'
_space_group_IT_number 1
_space_group_name_Hall 'P 1'
_cell_length_a 5.7249
_cell_length_b 5.8092
_cell_length_c 7.2808
_cell_angle_alpha 74.41
_cell_angle_beta 73.91
_cell_angle_gamma 73.69
loop_
_atom_site_label
_atom_site_type_symbol
_atom_site_fract_x
_atom_site_fract_y
_atom_site_fract_z
Mn1 Mn 0.0000 0.0000 0.0000
Mn2 Mn 0.0119 0.9770 0.4933
Mn3 Mn 0.3145 0.3365 0.1645
Mn4 Mn 0.3296 0.3542 0.6600
Mn5 Mn 0.6218 0.6689 0.3277
Mn6 Mn 0.6728 0.6861 0.8492
O1 O 0.0999 0.0944 0.2008
O2 O 0.2940 0.6889 0.4923
O3 O 0.5370 0.5730 0.1311
O4 O 0.9105 0.8961 0.7959
F1 F 0.2403 0.2258 0.4617
F2 F 0.3562 0.9957 0.8299
F3 F 0.4318 0.4613 0.8645
F4 F 0.6363 0.0382 0.1577
F5 F 0.7103 0.2800 0.5006
F6 F 0.7380 0.7539 0.5394
F7 F 0.9635 0.3624 0.8355
F8 F 0.9887 0.6379 0.1778
```

Peak list (12 most intense, 10° ≤ 2θ ≤ 90°, in order of rising 2θ)
hkl 1 -1 0, 2θ = 25.76°, d 3.458, intensity 100; hkl 1 1 2, 2θ = 27.13°, d 3.287, intensity 89; hkl 1 2 0, 2θ = 33.37°, d 2.685, intensity 27; hkl 0 1 -2, 2θ = 33.68°, d 2.661, intensity 27; hkl 2 1 0, 2θ = 33.80°, d 2.652, intensity 25; hkl 1 0 -2, 2θ = 34.01°, d 2.636, intensity 23; hkl 0 3 0, 2θ = 50.17°, d 1.818, intensity 16; hkl 1 -2 2, 2θ = 50.46°, d 1.809, intensity 17; hkl 3 0 0, 2θ = 51.14°, d 1.786, intensity 31; hkl 2 -2 0, 2θ = 52.96°, d 1.729, intensity 18; hkl 2 2 4, 2θ = 55.96°, d 1.643, intensity 16; hkl 2 2 -2, 2θ = 57.55°, d 1.602, intensity 20